Li12TlAu6: simulated powder X-ray diffraction pattern (λ = 1.5418 Å (Cu Kα)), based on a cell relaxed with PBE.
Kinematic intensities with the Lorentz-polarization factor, no thermal factor.

Structural model:
Unit cell a=7.492 b=7.492 c=7.492 alpha=110.67 beta=110.67 gamma=110.67
Element x y z (fractional)
Li1 0.009 0.168 0.295
Li2 0.168 0.295 0.009
Li3 0.244 0.687 0.622
Li4 0.295 0.009 0.168
Li5 0.313 0.378 0.756
Li6 0.378 0.756 0.313
Li7 0.622 0.244 0.687
Li8 0.687 0.622 0.244
Li9 0.705 0.991 0.832
Li10 0.756 0.313 0.378
Li11 0.832 0.705 0.991
Li12 0.991 0.832 0.705
Tl1 0.500 0.500 0.500
Au1 0.055 0.545 0.840
Au2 0.160 0.945 0.455
Au3 0.455 0.160 0.945
Au4 0.545 0.840 0.055
Au5 0.840 0.055 0.545
Au6 0.945 0.455 0.160

Main lines, in order of falling intensity (10° ≤ 2θ ≤ 90°):
2θ 25.45, d 3.500, I 100; 2θ 38.95, d 2.313, I 81; 2θ 20.89, d 4.252, I 65; 2θ 45.11, d 2.010, I 51; 2θ 25.03, d 3.558, I 45; 2θ 33.81, d 2.651, I 35; 2θ 30.43, d 2.937, I 33; 2θ 38.66, d 2.329, I 27; 2θ 38.38, d 2.345, I 26; 2θ 14.37, d 6.162, I 20; 2θ 55.61, d 1.653, I 18; 2θ 79.10, d 1.211, I 17